Diffraction record for Nb8Ni2C3N3. The powder diffraction line list is theoretical, not measured: it uses the GGA-PBE geometry in OQMD and Cu Ka.

The 8 most intense peaks (2θ from 5° to 70°), sorted by position:
33.1°, d 2.705, rel. 21.2, (1 0 1); 33.8°, d 2.651, rel. 26.9, (0 1 2); 36.5°, d 2.463, rel. 23.8, (1 0 4); 38.4°, d 2.346, rel. 68.2, (0 1 5); 39.0°, d 2.310, rel. 21.9, (0 0 10); 40.6°, d 2.223, rel. 100.0, (1 0 6); 55.2°, d 1.663, rel. 18.7, (1 0 11); 58.7°, d 1.572, rel. 57.5, (1 1 0)

Cell and atoms:
a = 3.1447 Å, b = 3.1447 Å, c = 23.1024 Å
α = 90.00°, β = 90.00°, γ = 120.00°
Space group P-3m1 (No. 164)
Symmetry-distinct sites (fractional):
Nb  0.0000  0.0000  0.1623 x2
Nb  0.0000  0.0000  0.3336 x2
Nb  0.3333  0.6667  0.5580 x2
Nb  0.3333  0.6667  0.9408 x2
Ni  0.3333  0.6667  0.7532 x2
C  0.0000  0.0000  0.5000 x1
C  0.3333  0.6667  0.3850 x2
N  0.0000  0.0000  0.0000 x1
N  0.3333  0.6667  0.1138 x2

=====

Diffraction record for Fe14C. The powder diffraction line list is theoretical, not measured: it uses the GGA-PBE geometry in OQMD and Cu Ka.

The 8 most intense peaks (2θ from 5° to 70°), sorted by position:
32.6°, d 2.747, rel. 16.0, (2 0 2); 39.8°, d 2.265, rel. 50.3, (2 1 1); 41.0°, d 2.201, rel. 24.0, (0 2 4); 41.7°, d 2.165, rel. 15.4, (1 2 2); 42.6°, d 2.124, rel. 44.8, (0 0 6); 44.6°, d 2.030, rel. 18.1, (3 0 0); 49.8°, d 1.831, rel. 100.0, (3 0 3); 65.4°, d 1.428, rel. 12.5, (2 1 7)

Cell and atoms:
a = 7.0308 Å, b = 7.0308 Å, c = 12.7439 Å
α = 90.00°, β = 90.00°, γ = 120.00°
Space group R-3m (No. 166, hexagonal axes)
Symmetry-distinct sites (fractional):
Fe  0.0000  0.0000  0.1390 x6
Fe  0.0000  0.3177  0.5000 x18
Fe  0.0823  0.5412  0.3378 x18
C  0.0000  0.0000  0.0000 x3

=====

Diffraction record for TbAlI7. The powder diffraction line list is theoretical, not measured: it uses the GGA-PBE geometry in OQMD and Cu Ka.

The 8 most intense peaks (2θ from 5° to 70°), sorted by position:
10.3°, d 8.624, rel. 37.2, (0 0 2); 13.2°, d 6.700, rel. 42.3, (1 0 -2); 20.8°, d 4.276, rel. 42.8, (1 0 -4); 21.4°, d 4.159, rel. 35.9, (1 1 2); 24.3°, d 3.668, rel. 30.2, (1 1 -4); 25.0°, d 3.567, rel. 71.1, (1 1 3); 25.5°, d 3.490, rel. 100.0, (2 1 -1); 33.6°, d 2.664, rel. 38.7, (2 2 -1)

Cell and atoms:
a = 8.0044 Å, b = 7.1347 Å, c = 17.8849 Å
α = 90.00°, β = 105.34°, γ = 90.00°
Space group Pc (No. 7)
Symmetry-distinct sites (fractional):
Tb  0.0000  0.0751  0.0000 x2
Al  0.7328  0.4905  0.8704 x2
I  0.0455  0.3710  0.8781 x2
I  0.1830  0.2634  0.1500 x2
I  0.2905  0.1308  0.4817 x2
I  0.5260  0.3541  0.7512 x2
I  0.6777  0.3625  0.9967 x2
I  0.7204  0.1451  0.3672 x2
I  0.9111  0.0883  0.6384 x2

=====

Diffraction record for KHo2Cd4. The powder diffraction line list is theoretical, not measured: it uses the GGA-PBE geometry in OQMD and Cu Ka.

The 8 most intense peaks (2θ from 5° to 70°), sorted by position:
12.6°, d 7.031, rel. 100.0, (1 1 0); 29.5°, d 3.031, rel. 37.1, (0 4 0); 30.7°, d 2.908, rel. 86.2, (2 0 -1); 31.0°, d 2.888, rel. 87.3, (2 0 1); 33.5°, d 2.676, rel. 39.3, (1 3 -1); 36.2°, d 2.480, rel. 68.2, (2 4 0); 37.5°, d 2.396, rel. 86.6, (0 4 1); 38.4°, d 2.344, rel. 45.1, (3 3 0)

Cell and atoms:
a = 8.6318 Å, b = 12.1231 Å, c = 3.9117 Å
α = 90.00°, β = 90.40°, γ = 90.00°
Space group C2/m (No. 12)
Symmetry-distinct sites (fractional):
K  0.0000  0.0000  0.0000 x2
Ho  0.2500  0.2500  0.5000 x4
Cd  0.0000  0.3410  0.0000 x4
Cd  0.1713  0.5000  0.5046 x4